LiVCrP4O14: calculated X-ray diffraction stick pattern (Cu Kα (weighted mean of Kα1 and Kα2)), based on DFT lattice parameters and positions (GGA+U).

Largest 6 diffraction maxima, sorted by position, 2θ from 5° to 70°:
- 17.14°, d 5.175, rel. 100
- 17.27°, d 5.136, rel. 87
- 22.73°, d 3.913, rel. 44
- 29.55°, d 3.023, rel. 48
- 29.78°, d 3.000, rel. 46
- 30.13°, d 2.966, rel. 42

Cell lengths 4.8721, 6.9683, 8.1335 Å; angles 90.23, 90.67, 106.96 degrees
Atoms (fractional coordinates):
Li 0.0000 0.0000 0.0000
V 0.6229 0.5976 0.8574
Cr 0.0520 0.0535 0.3665
P 0.0767 0.4221 0.0853
P 0.2299 0.8472 0.6798
P 0.4442 0.8109 0.1857
P 0.6203 0.2330 0.5861
O 0.1155 0.8369 0.5059
O 0.2334 0.9366 0.1779
O 0.2584 0.5800 0.2177
O 0.2699 0.4059 0.9396
O 0.4119 0.7006 0.7033
O 0.4311 0.2369 0.4371
O 0.4368 0.0682 0.7193
O 0.5847 0.8117 0.0150
O 0.6643 0.8631 0.3222
O 0.6999 0.4277 0.6891
O 0.8265 0.4977 0.0250
O 0.8913 0.1769 0.5482
O 0.9714 0.2216 0.1714
O 0.9974 0.8145 0.8126